Structure and simulated X-ray powder pattern of Ba2MgMn2CuF14 (a DFT-relaxed cell (PBE+U, Alexandria); a wavelength of 1.5418 Å).

Top 10 peaks for 2θ = 10–90°, low angle first:
2θ (°), I/Imax, h k l
23.95, 49, 0 0 4
24.79, 100, 1 -1 0
25.76, 96, 1 2 0
26.41, 35, 0 1 4
27.86, 48, 0 1 -4
28.72, 34, 0 2 -2
29.67, 61, 1 1 4
30.54, 24, 1 1 -4
39.29, 26, 0 1 -6
49.02, 30, 0 0 8

Atomic structure:
```
Ba2MgMn2CuF14
1.0
5.3341 0.0000 0.0000
2.4019 7.0566 0.0000
0.0684 0.9236 14.8647
Ba Mg Mn Cu F
4 2 4 2 28
Cartesian
0.0000 0.0000 0.0000
3.1898 7.4205 7.4875
5.0911 5.3563 3.7035
5.8845 5.7185 11.1926
2.6603 2.4027 1.8730
3.2224 3.3174 9.3180
0.4632 1.4844 11.1124
5.4245 4.2354 0.0832
5.6285 4.5949 7.4505
5.5826 1.1257 3.7427
2.9375 2.8605 5.5947
2.9776 3.3229 13.0285
6.9700 5.4817 13.7412
0.9081 2.6374 0.6383
1.3821 4.0397 5.7227
2.2756 6.3837 4.0890
1.6728 4.5769 8.7846
1.3843 2.2984 12.8600
3.5357 6.8914 11.6365
2.6455 4.0037 11.2284
1.6492 0.5634 2.2053
1.7410 0.8825 4.9502
1.9730 1.7253 9.8986
2.6090 2.4046 7.4529
3.2655 3.3158 3.7364
3.9154 3.9940 1.2958
4.1369 4.8397 6.2430
4.2297 5.1580 8.9891
3.3100 2.6420 14.8283
4.8256 6.8128 14.4315
4.5692 4.3500 13.1984
4.2055 1.1404 2.4072
6.0043 6.3940 7.1073
4.4938 1.6826 5.4690
4.9778 3.0803 10.5546
4.3186 1.1612 12.3177
5.0729 2.8834 7.9404
7.1068 7.5384 9.6591
6.5209 5.2326 1.5380
6.1342 2.8376 3.2540
```